No. 1
# Pm2ErCd2
Computed powder XRD pattern, Cu Ka. Input: a cell relaxed with PBE.

Main lines, low angle first (15 to 90 degrees two-theta):
d = 2.820 Å, I 21.5; d = 2.698 Å, I 100.0; d = 2.684 Å, I 26.9; d = 2.496 Å, I 8.2; d = 1.944 Å, I 14.6; d = 1.873 Å, I 9.3; d = 1.604 Å, I 9.6; d = 1.552 Å, I 18.3; d = 1.536 Å, I 10.4; d = 1.349 Å, I 8.7

Structure:
a = 3.747 Å, b = 5.367 Å, c = 14.223 Å
α = 90.00°, β = 97.56°, γ = 90.00°
Fractional positions:
1 Pm 0.044 0.250 0.088
2 Pm 0.234 0.250 0.469
3 Pm 0.766 0.750 0.531
4 Pm 0.956 0.750 0.912
5 Er 0.150 0.750 0.299
6 Er 0.850 0.250 0.701
7 Cd 0.361 0.750 0.722
8 Cd 0.442 0.250 0.885
9 Cd 0.558 0.750 0.115
10 Cd 0.639 0.250 0.278

No. 2
# PmEr2Cd3
Computed powder XRD pattern, Cu Ka. Input: a cell relaxed with PBE.

Main lines, low angle first (15 to 90 degrees two-theta):
d = 2.663 Å, I 100.0; d = 2.636 Å, I 48.9; d = 1.903 Å, I 9.1; d = 1.864 Å, I 17.4; d = 1.543 Å, I 18.1; d = 1.528 Å, I 17.8; d = 1.526 Å, I 17.9; d = 1.332 Å, I 11.0; d = 1.201 Å, I 7.6; d = 1.181 Å, I 7.6

Structure:
a = 8.345 Å, b = 8.345 Å, c = 7.612 Å
α = 90.00°, β = 90.00°, γ = 143.22°
Fractional positions:
1 Pm 0.165 0.835 0.000
2 Pm 0.835 0.165 0.000
3 Er 0.169 0.831 0.500
4 Er 0.500 0.500 0.000
5 Er 0.500 0.500 0.500
6 Er 0.831 0.169 0.500
7 Cd 0.000 0.000 0.261
8 Cd 0.000 0.000 0.739
9 Cd 0.336 0.664 0.260
10 Cd 0.336 0.664 0.740
11 Cd 0.664 0.336 0.260
12 Cd 0.664 0.336 0.740

No. 3
# PmEr2Cd8
Computed powder XRD pattern, Cu Ka. Input: a cell relaxed with PBE.

Main lines, low angle first (15 to 90 degrees two-theta):
d = 3.159 Å, I 19.5; d = 2.729 Å, I 100.0; d = 2.719 Å, I 52.2; d = 2.667 Å, I 45.8; d = 2.644 Å, I 67.0; d = 2.529 Å, I 26.9; d = 2.472 Å, I 70.5; d = 2.447 Å, I 35.4; d = 2.390 Å, I 39.3; d = 2.088 Å, I 20.7

Structure:
a = 8.922 Å, b = 8.922 Å, c = 5.338 Å
α = 106.68°, β = 106.68°, γ = 125.77°
Fractional positions:
1 Pm 0.000 0.000 0.000
2 Er 0.311 0.689 0.500
3 Er 0.689 0.311 0.500
4 Cd 0.101 0.364 0.744
5 Cd 0.202 0.798 0.000
6 Cd 0.364 0.101 0.744
7 Cd 0.488 0.488 0.736
8 Cd 0.512 0.512 0.264
9 Cd 0.636 0.899 0.256
10 Cd 0.798 0.202 0.000
11 Cd 0.899 0.636 0.256

No. 4
# Pr2Er5Cd
Computed powder XRD pattern, Cu Ka. Input: a cell relaxed with PBE.

Main lines, low angle first (15 to 90 degrees two-theta):
d = 2.868 Å, I 100.0; d = 2.533 Å, I 17.4; d = 2.460 Å, I 32.5; d = 1.765 Å, I 22.6; d = 1.741 Å, I 6.0; d = 1.737 Å, I 5.1; d = 1.519 Å, I 13.1; d = 1.487 Å, I 25.3; d = 1.435 Å, I 5.9; d = 1.144 Å, I 9.7

Structure:
a = 7.062 Å, b = 7.062 Å, c = 7.062 Å
α = 120.91°, β = 88.32°, γ = 121.05°
Fractional positions:
1 Pr 0.000 0.000 0.000
2 Pr 0.559 0.059 0.500
3 Er 0.026 0.010 0.510
4 Er 0.026 0.516 0.016
5 Er 0.500 0.010 0.984
6 Er 0.500 0.516 0.490
7 Er 0.517 0.517 0.000
8 Cd 0.035 0.535 0.500

No. 5
# Pr4ErCd3
Computed powder XRD pattern, Cu Ka. Input: a cell relaxed with PBE.

Main lines, low angle first (15 to 90 degrees two-theta):
d = 2.827 Å, I 26.5; d = 2.800 Å, I 26.4; d = 2.752 Å, I 100.0; d = 1.989 Å, I 19.1; d = 1.905 Å, I 8.5; d = 1.617 Å, I 19.2; d = 1.607 Å, I 19.5; d = 1.580 Å, I 9.1; d = 1.575 Å, I 9.2; d = 1.376 Å, I 11.3

Structure:
a = 3.810 Å, b = 5.600 Å, c = 11.307 Å
α = 90.00°, β = 90.00°, γ = 90.00°
Fractional positions:
1 Pr 0.000 0.000 0.000
2 Pr 0.000 0.000 0.500
3 Pr 0.000 0.500 0.239
4 Pr 0.000 0.500 0.761
5 Er 0.500 0.500 0.500
6 Cd 0.500 0.000 0.254
7 Cd 0.500 0.000 0.746
8 Cd 0.500 0.500 0.000

No. 6
# Pr3Er2Cd2
Computed powder XRD pattern, Cu Ka. Input: a cell relaxed with PBE.

Main lines, low angle first (15 to 90 degrees two-theta):
d = 2.895 Å, I 84.7; d = 2.792 Å, I 100.0; d = 2.730 Å, I 16.6; d = 2.609 Å, I 29.7; d = 2.586 Å, I 41.5; d = 2.243 Å, I 21.1; d = 1.837 Å, I 20.7; d = 1.695 Å, I 21.2; d = 1.530 Å, I 16.0; d = 1.493 Å, I 29.5

Structure:
a = 11.891 Å, b = 11.891 Å, c = 3.534 Å
α = 90.00°, β = 90.00°, γ = 154.88°
Fractional positions:
1 Pr 0.000 0.000 0.000
2 Pr 0.148 0.852 0.000
3 Pr 0.852 0.148 0.000
4 Er 0.290 0.710 0.500
5 Er 0.710 0.290 0.500
6 Cd 0.430 0.570 0.500
7 Cd 0.570 0.430 0.500

No. 7
# Pr3Er2Cd6
Computed powder XRD pattern, Cu Ka. Input: a cell relaxed with PBE.

Main lines, low angle first (15 to 90 degrees two-theta):
d = 3.688 Å, I 36.6; d = 3.088 Å, I 24.8; d = 3.040 Å, I 58.0; d = 2.877 Å, I 26.9; d = 2.719 Å, I 79.1; d = 2.544 Å, I 100.0; d = 2.509 Å, I 45.7; d = 2.184 Å, I 71.4; d = 1.657 Å, I 54.1; d = 1.396 Å, I 28.5

Structure:
a = 17.488 Å, b = 17.488 Å, c = 17.488 Å
α = 165.65°, β = 165.65°, γ = 20.34°
Fractional positions:
1 Pr 0.000 0.000 0.000
2 Pr 0.179 0.179 0.000
3 Pr 0.821 0.821 0.000
4 Er 0.366 0.366 0.000
5 Er 0.634 0.634 0.000
6 Cd 0.071 0.571 0.500
7 Cd 0.275 0.275 0.000
8 Cd 0.429 0.929 0.500
9 Cd 0.571 0.071 0.500
10 Cd 0.725 0.725 0.000
11 Cd 0.929 0.429 0.500

No. 8
# PrErCd14
Computed powder XRD pattern, Cu Ka. Input: a cell relaxed with PBE.

Main lines, low angle first (15 to 90 degrees two-theta):
d = 3.098 Å, I 0.8; d = 2.619 Å, I 100.0; d = 2.353 Å, I 37.0; d = 2.123 Å, I 13.2; d = 1.664 Å, I 12.2; d = 1.576 Å, I 19.8; d = 1.404 Å, I 27.0; d = 1.309 Å, I 10.4; d = 1.302 Å, I 9.9; d = 1.176 Å, I 3.8

Structure:
a = 6.654 Å, b = 6.654 Å, c = 8.491 Å
α = 90.00°, β = 90.00°, γ = 90.00°
Fractional positions:
1 Pr 0.000 0.000 0.000
2 Er 0.500 0.500 0.000
3 Cd 0.000 0.000 0.500
4 Cd 0.000 0.500 0.000
5 Cd 0.000 0.500 0.500
6 Cd 0.254 0.254 0.260
7 Cd 0.254 0.254 0.740
8 Cd 0.254 0.746 0.260
9 Cd 0.254 0.746 0.740
10 Cd 0.500 0.000 0.000
11 Cd 0.500 0.000 0.500
12 Cd 0.500 0.500 0.500
13 Cd 0.746 0.254 0.260
14 Cd 0.746 0.254 0.740
15 Cd 0.746 0.746 0.260
16 Cd 0.746 0.746 0.740